Starting from the GGA-PBE geometry in Alexandria, the powder X-ray diffraction pattern of GePb3Cl8 was simulated for Cu Kα.
Neutral-atom scattering factors, no anomalous dispersion.

Crystal structure
```
GePb3Cl8
1.0
5.743 0.000 0.000
2.607 9.040 0.000
0.141 3.568 8.911
Ge Pb Cl
1 3 8
Direct
0.000 0.000 0.000
0.609 0.809 0.416
0.707 0.629 0.002
0.922 0.191 0.412
0.077 0.871 0.397
0.163 0.725 0.981
0.459 0.126 0.431
0.604 0.958 0.048
0.700 0.628 0.711
0.733 0.530 0.332
0.873 0.297 0.097
0.904 0.144 0.747
```

Largest 10 diffraction maxima, by angle, 2θ = 10–90°:
two_theta, I_rel
10.54, 39
11.49, 36
16.14, 100
16.51, 74
19.76, 36
19.93, 92
25.64, 39
29.70, 56
30.08, 46
31.17, 74

Starting from the GGA-PBE geometry in Alexandria, the powder X-ray diffraction pattern of PmGeCl was simulated for Cu Kα.
Neutral-atom scattering factors, no anomalous dispersion.

Crystal structure
```
PmGeCl
1.0
7.803 -2.012 0.000
7.803 2.012 0.000
-1.736 0.000 4.920
Pm Ge Cl
2 2 2
Direct
0.132 0.132 0.133
0.868 0.868 0.867
0.499 0.499 0.249
0.501 0.501 0.751
0.221 0.221 0.721
0.779 0.779 0.279
```

Largest 10 diffraction maxima, by angle, 2θ = 10–90°:
two_theta, I_rel
18.04, 58
24.91, 30
28.00, 28
28.70, 100
36.54, 17
37.33, 64
41.72, 53
42.48, 29
45.07, 21
63.65, 18

Starting from the GGA-PBE geometry in Alexandria, the powder X-ray diffraction pattern of Pr3Ge2Cl was simulated for Cu Kα.
Neutral-atom scattering factors, no anomalous dispersion.

Crystal structure
```
Pr3Ge2Cl
1.0
6.047 0.000 0.000
0.000 12.841 0.000
-0.002 0.000 8.620
Pr Ge Cl
12 8 4
Direct
0.249 0.248 0.383
0.249 0.252 0.883
0.250 0.585 0.377
0.250 0.591 0.862
0.250 0.909 0.362
0.250 0.915 0.877
0.750 0.085 0.123
0.750 0.091 0.638
0.750 0.409 0.138
0.750 0.415 0.623
0.751 0.748 0.117
0.751 0.752 0.617
0.250 0.084 0.132
0.250 0.416 0.632
0.251 0.746 0.123
0.251 0.754 0.623
0.749 0.246 0.377
0.749 0.254 0.877
0.750 0.584 0.368
0.750 0.916 0.868
0.249 0.085 0.627
0.249 0.415 0.127
0.751 0.585 0.873
0.751 0.915 0.373
```

Largest 10 diffraction maxima, by angle, 2θ = 10–90°:
two_theta, I_rel
25.38, 21
25.50, 21
29.41, 100
29.54, 50
41.92, 18
42.18, 93
52.12, 20
52.38, 20
69.24, 16
69.43, 24

Starting from the GGA-PBE geometry in Alexandria, the powder X-ray diffraction pattern of Pr4GeCl5 was simulated for Cu Kα.
Neutral-atom scattering factors, no anomalous dispersion.

Crystal structure
```
Pr4GeCl5
1.0
9.216 -2.079 0.000
9.216 2.079 0.000
-2.195 0.000 8.230
Pr Ge Cl
4 1 5
Direct
0.001 0.001 0.236
0.342 0.342 0.906
0.658 0.658 0.094
0.999 0.999 0.764
0.500 0.500 0.000
0.167 0.167 0.330
0.170 0.170 0.857
0.500 0.500 0.500
0.830 0.830 0.143
0.833 0.833 0.670
```

Largest 10 diffraction maxima, by angle, 2θ = 10–90°:
two_theta, I_rel
10.75, 53
23.92, 12
26.14, 20
30.06, 100
31.53, 8
42.47, 11
42.61, 23
43.49, 38
53.83, 12
71.60, 10

Starting from the GGA-PBE geometry in Alexandria, the powder X-ray diffraction pattern of Pr2GeCl was simulated for Cu Kα.
Neutral-atom scattering factors, no anomalous dispersion.

Crystal structure
```
Pr2GeCl
1.0
7.596 0.000 0.000
0.000 4.137 0.000
0.000 0.000 14.266
Pr Ge Cl
8 4 4
Direct
0.153 0.250 0.238
0.209 0.750 0.996
0.291 0.250 0.496
0.347 0.750 0.738
0.653 0.250 0.262
0.709 0.750 0.504
0.791 0.250 0.004
0.847 0.750 0.762
0.089 0.250 0.853
0.411 0.750 0.353
0.589 0.250 0.647
0.911 0.750 0.147
0.076 0.750 0.596
0.424 0.250 0.096
0.576 0.750 0.904
0.924 0.250 0.404
```

Largest 10 diffraction maxima, by angle, 2θ = 10–90°:
two_theta, I_rel
22.38, 22
24.97, 26
25.30, 24
30.11, 33
30.98, 72
34.45, 100
38.32, 26
42.33, 23
43.77, 28
67.00, 18

Starting from the GGA-PBE geometry in Alexandria, the powder X-ray diffraction pattern of GePtCl was simulated for Cu Kα.
Neutral-atom scattering factors, no anomalous dispersion.

Crystal structure
```
GePtCl
1.0
6.404 0.000 0.000
0.000 6.107 0.000
-1.170 0.000 6.709
Ge Pt Cl
4 4 4
Direct
0.123 0.126 0.359
0.123 0.374 0.859
0.877 0.626 0.141
0.877 0.874 0.641
0.229 0.037 0.718
0.229 0.463 0.218
0.771 0.537 0.782
0.771 0.963 0.282
0.366 0.638 0.701
0.366 0.862 0.201
0.634 0.138 0.799
0.634 0.362 0.299
```

Largest 10 diffraction maxima, by angle, 2θ = 10–90°:
two_theta, I_rel
22.85, 100
25.55, 27
26.57, 60
28.29, 36
29.25, 26
41.14, 21
42.58, 21
43.15, 32
45.42, 37
49.66, 21

Starting from the GGA-PBE geometry in Alexandria, the powder X-ray diffraction pattern of Rb3Ge2Cl7 was simulated for Cu Kα.
Neutral-atom scattering factors, no anomalous dispersion.

Crystal structure
```
Rb3Ge2Cl7
1.0
-2.648 2.648 13.540
2.648 -2.648 13.540
2.648 2.648 -13.540
Rb Ge Cl
3 2 7
Direct
0.000 0.000 0.000
0.181 0.181 0.000
0.819 0.819 0.000
0.400 0.400 0.000
0.600 0.600 0.000
0.098 0.598 0.500
0.303 0.303 0.000
0.402 0.902 0.500
0.500 0.500 0.000
0.598 0.098 0.500
0.697 0.697 0.000
0.902 0.402 0.500
```

Largest 10 diffraction maxima, by angle, 2θ = 10–90°:
two_theta, I_rel
23.49, 85
23.76, 80
31.03, 53
33.08, 37
33.85, 100
41.13, 19
41.62, 40
48.05, 48
48.62, 33
60.05, 31

Starting from the GGA-PBE geometry in Alexandria, the powder X-ray diffraction pattern of RbGeCl2 was simulated for Cu Kα.
Neutral-atom scattering factors, no anomalous dispersion.

Crystal structure
```
RbGeCl2
1.0
-3.072 3.072 8.194
3.072 -3.072 8.194
3.072 3.072 -8.194
Rb Ge Cl
2 2 4
Direct
0.000 0.000 0.000
0.750 0.250 0.500
0.250 0.750 0.500
0.500 0.500 0.000
0.205 0.625 0.080
0.375 0.455 0.580
0.545 0.125 0.920
0.875 0.795 0.420
```

Largest 10 diffraction maxima, by angle, 2θ = 10–90°:
two_theta, I_rel
21.71, 10
23.17, 100
29.06, 10
36.56, 48
38.95, 25
41.57, 14
47.37, 8
48.13, 24
58.27, 13
62.29, 8

Starting from the GGA-PBE geometry in Alexandria, the powder X-ray diffraction pattern of RbGe3Cl12 was simulated for Cu Kα.
Neutral-atom scattering factors, no anomalous dispersion.

Crystal structure
```
RbGe3Cl12
1.0
12.830 0.000 0.000
-6.415 11.111 0.000
0.000 0.000 8.791
Rb Ge Cl
2 6 24
Direct
0.333 0.667 0.250
0.667 0.333 0.750
0.098 0.379 0.750
0.281 0.902 0.750
0.379 0.281 0.250
0.621 0.719 0.750
0.719 0.098 0.250
0.902 0.621 0.250
0.003 0.816 0.250
0.020 0.542 0.250
0.184 0.188 0.250
0.188 0.003 0.750
0.213 0.443 0.546
0.213 0.443 0.954
0.229 0.787 0.546
0.229 0.787 0.954
0.443 0.229 0.046
0.443 0.229 0.454
0.458 0.479 0.250
0.479 0.020 0.750
0.521 0.980 0.250
0.542 0.521 0.750
0.557 0.771 0.546
0.557 0.771 0.954
0.771 0.213 0.046
0.771 0.213 0.454
0.787 0.557 0.046
0.787 0.557 0.454
0.812 0.997 0.250
0.816 0.812 0.750
0.980 0.458 0.750
0.997 0.184 0.750
```

Largest 10 diffraction maxima, by angle, 2θ = 10–90°:
two_theta, I_rel
17.11, 100
18.90, 79
20.20, 29
21.16, 28
28.97, 25
29.42, 42
31.59, 22
36.71, 21
47.26, 30
51.06, 20

Starting from the GGA-PBE geometry in Alexandria, the powder X-ray diffraction pattern of Rb2SnGeCl6 was simulated for Cu Kα.
Neutral-atom scattering factors, no anomalous dispersion.

Crystal structure
```
Rb2SnGeCl6
1.0
7.466 0.000 0.000
3.498 6.813 0.000
3.409 2.068 6.770
Rb Sn Ge Cl
2 1 1 6
Direct
0.000 0.000 0.000
0.474 0.554 0.494
0.251 0.284 0.243
0.736 0.803 0.733
0.109 0.534 0.939
0.437 0.971 0.605
0.438 0.977 0.096
0.573 0.403 0.092
0.858 0.091 0.586
0.964 0.651 0.461
```

Largest 10 diffraction maxima, by angle, 2θ = 10–90°:
two_theta, I_rel
21.51, 100
21.84, 92
22.57, 58
22.79, 69
23.30, 79
23.87, 86
32.09, 87
32.20, 70
32.49, 81
38.19, 65

Starting from the GGA-PBE geometry in Alexandria, the powder X-ray diffraction pattern of RbTlGeCl4 was simulated for Cu Kα.
Neutral-atom scattering factors, no anomalous dispersion.

Crystal structure
```
RbTlGeCl4
1.0
-2.632 2.632 8.172
2.632 -2.632 8.172
2.632 2.632 -8.172
Rb Tl Ge Cl
1 1 1 4
Direct
0.000 0.000 0.000
0.714 0.714 0.000
0.356 0.356 0.000
0.200 0.200 0.000
0.358 0.858 0.500
0.530 0.530 0.000
0.858 0.358 0.500
```

Largest 10 diffraction maxima, by angle, 2θ = 10–90°:
two_theta, I_rel
10.83, 32
17.70, 33
23.50, 100
23.91, 93
32.24, 27
32.54, 56
32.88, 26
34.07, 73
41.80, 47
48.07, 35

Starting from the GGA-PBE geometry in Alexandria, the powder X-ray diffraction pattern of Rb2VGeCl6 was simulated for Cu Kα.
Neutral-atom scattering factors, no anomalous dispersion.

Crystal structure
```
Rb2VGeCl6
1.0
0.000 5.152 5.152
5.152 0.000 5.152
5.152 5.152 0.000
Rb V Ge Cl
2 1 1 6
Direct
0.250 0.250 0.250
0.750 0.750 0.750
0.000 0.000 0.000
0.500 0.500 0.500
0.242 0.242 0.758
0.242 0.758 0.242
0.242 0.758 0.758
0.758 0.242 0.242
0.758 0.242 0.758
0.758 0.758 0.242
```

Largest 10 diffraction maxima, by angle, 2θ = 10–90°:
two_theta, I_rel
24.44, 98
30.04, 54
34.83, 100
43.01, 44
50.08, 65
56.48, 20
59.51, 18
62.45, 21
68.10, 23
84.01, 27

Starting from the GGA-PBE geometry in Alexandria, the powder X-ray diffraction pattern of RbYGe2Cl8 was simulated for Cu Kα.
Neutral-atom scattering factors, no anomalous dispersion.

Crystal structure
```
RbYGe2Cl8
1.0
6.324 0.000 0.000
-0.711 7.000 0.000
-0.216 -0.509 9.341
Rb Y Ge Cl
1 1 2 8
Direct
0.000 0.000 0.000
0.000 0.000 0.500
0.455 0.563 0.282
0.545 0.437 0.718
0.211 0.190 0.307
0.225 0.693 0.460
0.274 0.634 0.081
0.278 0.127 0.713
0.722 0.873 0.287
0.726 0.366 0.919
0.775 0.307 0.540
0.789 0.810 0.693
```

Largest 10 diffraction maxima, by angle, 2θ = 10–90°:
two_theta, I_rel
17.98, 98
19.93, 100
20.49, 38
23.42, 83
24.06, 58
27.91, 42
35.18, 30
35.77, 36
37.01, 38
38.59, 49